Entry 1:
Structure and computed PXRD pattern of Li2Fe2C3O9 (a crystal structure in the Materials Project, relaxed with GGA+U; Cu Kα (λ = 1.5418 Å)).
Neutral-atom scattering factors, no anomalous dispersion.

Atomic structure:
```
data_Li2Fe2C3O9
_cell_length_a 7.076
_cell_length_b 9.802
_cell_length_c 10.089
_cell_angle_alpha 90.00
_cell_angle_beta 90.04
_cell_angle_gamma 90.00
_space_group_name_H-M_alt 'C 1 m 1'
_space_group_IT_number 8
loop_
_space_group_symop_operation_xyz
'x,y,z'
'x,-y,z'
'x+1/2,y+1/2,z'
'x+1/2,-y+1/2,z'
loop_
_atom_site_label
_atom_site_fract_x
_atom_site_fract_y
_atom_site_fract_z
_atom_site_occupancy
Li1 0.000 0.201 0.000 1
Li2 0.000 0.201 0.492 1
Fe1 0.011 0.000 0.747 1
Fe2 0.173 0.500 0.991 1
Fe3 0.174 0.500 0.501 1
Fe4 0.495 0.500 0.246 1
C1 0.248 0.296 0.246 1
C2 0.256 0.298 0.746 1
C3 0.318 0.000 0.496 1
C4 0.318 0.000 0.996 1
O1 0.134 0.000 0.497 1
O2 0.134 0.000 0.995 1
O3 0.158 0.184 0.246 1
O4 0.167 0.188 0.746 1
O5 0.300 0.358 0.136 1
O6 0.300 0.358 0.356 1
O7 0.310 0.360 0.636 1
O8 0.310 0.360 0.856 1
O9 0.416 0.112 0.996 1
O10 0.417 0.112 0.496 1
```

Largest 10 diffraction maxima, sorted by position, 15° ≤ 2θ ≤ 90°:
2θ (°), I/Imax, h k l
15.44, 47, 1 1 0
18.10, 28, 0 2 0
23.48, 100, 1 1 -2
25.34, 18, 0 2 2
35.60, 22, 0 0 4
36.02, 61, 2 2 -2
47.31, 13, 1 3 -4
47.55, 19, 3 3 0
48.67, 19, 2 4 -2
54.05, 14, 3 1 4

***

Entry 2:
Structure and computed PXRD pattern of LiFeCO4 (a crystal structure in the Materials Project, relaxed with GGA+U; Cu Kα (λ = 1.5418 Å)).
Neutral-atom scattering factors, no anomalous dispersion.

Atomic structure:
```
data_LiFeCO4
_cell_length_a 8.183
_cell_length_b 14.538
_cell_length_c 6.083
_cell_angle_alpha 90.00
_cell_angle_beta 90.00
_cell_angle_gamma 90.00
_space_group_name_H-M_alt 'C c c 2'
_space_group_IT_number 37
loop_
_space_group_symop_operation_xyz
'x,y,z'
'-x,-y,z'
'-x,y,z+1/2'
'x,-y,z+1/2'
'x+1/2,y+1/2,z'
'-x+1/2,-y+1/2,z'
'-x+1/2,y+1/2,z+1/2'
'x+1/2,-y+1/2,z+1/2'
loop_
_atom_site_label
_atom_site_fract_x
_atom_site_fract_y
_atom_site_fract_z
_atom_site_occupancy
Li1 0.118 0.089 0.000 1
Fe1 0.010 0.288 0.740 1
C1 0.245 0.399 0.479 1
O1 0.049 0.220 0.993 1
O2 0.135 0.047 0.466 1
O3 0.172 0.372 0.297 1
O4 0.195 0.369 0.671 1
```

Largest 10 diffraction maxima, sorted by position, 15° ≤ 2θ ≤ 90°:
2θ (°), I/Imax, h k l
21.31, 71, 1 3 0
24.97, 100, 2 2 0
25.91, 36, 1 3 1
31.94, 65, 0 2 2
32.96, 55, 2 4 0
36.58, 42, 1 3 2
44.51, 29, 1 5 2
46.08, 20, 4 2 0
54.68, 22, 1 7 2
55.17, 22, 3 5 2

***

Entry 3:
Structure and computed PXRD pattern of Li3FeC3O9 (a crystal structure in the Materials Project, relaxed with GGA+U; Cu Kα (λ = 1.5418 Å)).
Neutral-atom scattering factors, no anomalous dispersion.

Atomic structure:
```
data_Li3FeC3O9
_cell_length_a 10.003
_cell_length_b 9.514
_cell_length_c 7.250
_cell_angle_alpha 90.00
_cell_angle_beta 90.00
_cell_angle_gamma 90.00
_space_group_name_H-M_alt 'A m a 2'
_space_group_IT_number 40
loop_
_space_group_symop_operation_xyz
'x,y,z'
'-x,-y,z'
'-x+1/2,y,z'
'x+1/2,-y,z'
'x,y+1/2,z+1/2'
'-x,-y+1/2,z+1/2'
'-x+1/2,y+1/2,z+1/2'
'x+1/2,-y+1/2,z+1/2'
loop_
_atom_site_label
_atom_site_fract_x
_atom_site_fract_y
_atom_site_fract_z
_atom_site_occupancy
Li1 0.000 0.000 0.000 1
Li2 0.250 0.022 0.285 1
Li3 0.250 0.278 0.386 1
Fe1 0.250 0.232 0.833 1
C1 0.011 0.297 0.769 1
C2 0.250 0.495 0.153 1
O1 0.052 0.187 0.863 1
O2 0.110 0.172 0.250 1
O3 0.110 0.371 0.697 1
O4 0.250 0.124 0.590 1
O5 0.250 0.393 0.038 1
O6 0.250 0.482 0.331 1
```

Largest 10 diffraction maxima, sorted by position, 15° ≤ 2θ ≤ 90°:
2θ (°), I/Imax, h k l
17.75, 100, 2 0 0
18.65, 36, 0 2 0
23.55, 31, 2 1 1
24.56, 38, 0 0 2
31.01, 32, 0 2 2
32.08, 12, 1 3 1
35.92, 12, 4 0 0
39.27, 12, 4 1 1
48.17, 28, 5 1 1
49.31, 12, 2 4 2

***

Entry 4:
Structure and computed PXRD pattern of LiFe2C3O9 (a crystal structure in the Materials Project, relaxed with GGA+U; Cu Kα (λ = 1.5418 Å)).
Neutral-atom scattering factors, no anomalous dispersion.

Atomic structure:
```
data_LiFe2C3O9
_cell_length_a 7.518
_cell_length_b 7.607
_cell_length_c 7.642
_cell_angle_alpha 111.11
_cell_angle_beta 106.79
_cell_angle_gamma 107.54
_space_group_name_H-M_alt 'P 1'
_space_group_IT_number 1
loop_
_space_group_symop_operation_xyz
'x,y,z'
loop_
_atom_site_label
_atom_site_fract_x
_atom_site_fract_y
_atom_site_fract_z
_atom_site_occupancy
Li1 0.000 0.000 0.000 1
Li2 0.489 0.213 0.961 1
Fe1 0.141 0.833 0.578 1
Fe2 0.243 0.561 0.181 1
Fe3 0.737 0.942 0.309 1
Fe4 0.858 0.444 0.685 1
C1 0.089 0.200 0.743 1
C2 0.298 0.815 0.962 1
C3 0.501 0.997 0.556 1
C4 0.631 0.567 0.387 1
C5 0.878 0.655 0.087 1
C6 0.954 0.332 0.311 1
O1 0.016 0.495 0.486 1
O2 0.035 0.130 0.546 1
O3 0.050 0.700 0.238 1
O4 0.062 0.319 0.204 1
O5 0.092 0.379 0.855 1
O6 0.103 0.762 0.916 1
O7 0.141 0.095 0.830 1
O8 0.385 0.890 0.869 1
O9 0.407 0.789 0.115 1
O10 0.421 0.097 0.651 1
O11 0.423 0.791 0.480 1
O12 0.468 0.470 0.201 1
O13 0.637 0.486 0.504 1
O14 0.663 0.095 0.535 1
O15 0.766 0.472 0.931 1
O16 0.774 0.169 0.231 1
O17 0.782 0.744 0.437 1
O18 0.828 0.810 0.102 1
```

Largest 10 diffraction maxima, sorted by position, 15° ≤ 2θ ≤ 90°:
2θ (°), I/Imax, h k l
19.66, 100, 1 -1 1
19.88, 83, 1 1 -1
20.63, 74, -1 1 1
31.17, 32, 2 -1 1
31.41, 34, 1 2 -1
32.25, 48, -1 1 2
33.18, 30, -2 2 1
37.96, 35, 0 3 -2
39.53, 33, -3 1 2
51.85, 29, 2 3 -2

***

Entry 5:
Structure and computed PXRD pattern of Li3Fe2C2O8 (a crystal structure in the Materials Project, relaxed with GGA+U; Cu Kα (λ = 1.5418 Å)).
Neutral-atom scattering factors, no anomalous dispersion.

Atomic structure:
```
data_Li3Fe2C2O8
_cell_length_a 6.891
_cell_length_b 5.149
_cell_length_c 11.170
_cell_angle_alpha 90.00
_cell_angle_beta 100.92
_cell_angle_gamma 90.00
_space_group_name_H-M_alt 'P 1 c 1'
_space_group_IT_number 7
loop_
_space_group_symop_operation_xyz
'x,y,z'
'x,-y,z+1/2'
loop_
_atom_site_label
_atom_site_fract_x
_atom_site_fract_y
_atom_site_fract_z
_atom_site_occupancy
Li1 0.000 0.074 0.000 1
Li2 0.661 0.404 0.143 1
Li3 0.912 0.108 0.715 1
Fe1 0.277 0.380 0.586 1
Fe2 0.300 0.104 0.274 1
C1 0.586 0.054 0.506 1
C2 0.991 0.421 0.359 1
O1 0.030 0.170 0.357 1
O2 0.075 0.445 0.956 1
O3 0.144 0.107 0.642 1
O4 0.408 0.377 0.189 1
O5 0.491 0.061 0.911 1
O6 0.531 0.286 0.536 1
O7 0.740 0.053 0.073 1
O8 0.879 0.465 0.772 1
```

Largest 10 diffraction maxima, sorted by position, 15° ≤ 2θ ≤ 90°:
2θ (°), I/Imax, h k l
19.04, 29, 0 1 1
22.72, 19, 1 0 2
24.04, 11, 1 1 1
25.60, 100, 1 1 -2
28.25, 44, 2 0 -2
28.65, 11, 1 1 2
29.98, 18, 0 1 3
33.27, 16, 2 1 -2
34.71, 40, 1 1 3
50.49, 16, 3 1 -4

***

Entry 6:
Structure and computed PXRD pattern of Li2Fe2C3O9 (a crystal structure in the Materials Project, relaxed with GGA+U; Cu Kα (λ = 1.5418 Å)).
Neutral-atom scattering factors, no anomalous dispersion.

Atomic structure:
```
data_Li2Fe2C3O9
_cell_length_a 12.329
_cell_length_b 9.810
_cell_length_c 7.094
_cell_angle_alpha 90.00
_cell_angle_beta 125.07
_cell_angle_gamma 90.00
_space_group_name_H-M_alt 'C 1 m 1'
_space_group_IT_number 8
loop_
_space_group_symop_operation_xyz
'x,y,z'
'x,-y,z'
'x+1/2,y+1/2,z'
'x+1/2,-y+1/2,z'
loop_
_atom_site_label
_atom_site_fract_x
_atom_site_fract_y
_atom_site_fract_z
_atom_site_occupancy
Li1 0.000 0.201 0.000 1
Li2 0.000 0.299 0.500 1
Fe1 0.001 0.500 0.177 1
Fe2 0.249 0.000 0.257 1
Fe3 0.250 0.500 0.762 1
Fe4 0.499 0.500 0.675 1
C1 0.006 0.000 0.328 1
C2 0.250 0.204 0.009 1
C3 0.250 0.300 0.507 1
C4 0.494 0.000 0.815 1
O1 0.005 0.111 0.426 1
O2 0.008 0.000 0.146 1
O3 0.140 0.142 0.951 1
O4 0.140 0.361 0.452 1
O5 0.250 0.190 0.415 1
O6 0.250 0.316 0.921 1
O7 0.360 0.142 0.170 1
O8 0.360 0.361 0.672 1
O9 0.493 0.000 0.631 1
O10 0.495 0.111 0.915 1
```

Largest 10 diffraction maxima, sorted by position, 15° ≤ 2θ ≤ 90°:
2θ (°), I/Imax, h k l
15.41, 46, 1 1 -1
18.09, 28, 0 2 0
23.46, 100, 1 1 1
25.33, 18, 2 2 0
35.59, 22, 4 0 0
35.96, 59, 0 2 2
47.45, 19, 3 3 -3
48.61, 18, 0 4 2
52.01, 13, 4 4 0
53.97, 14, 7 1 -3